1.
This entry pairs a crystal structure of Li3ThPt2 with its computed XRD peak list. Radiation: Cu Kα (λ = 1.5418 Å). Structure: DFT lattice parameters and positions (GGA-PBE).
Lines closer than 0.1° are merged.

Crystal structure
```
data_Li3ThPt2
_space_group_name_H-M_alt 'P 1'
_space_group_IT_number 1
_cell_length_a 7.495
_cell_length_b 7.495
_cell_length_c 8.423
_cell_angle_alpha 117.10
_cell_angle_beta 117.10
_cell_angle_gamma 31.33
loop_
_space_group_symop_operation_xyz
'x,y,z'
loop_
_atom_site_label
_atom_site_fract_x
_atom_site_fract_y
_atom_site_fract_z
Li1 0.065 0.065 0.404
Li2 0.293 0.293 0.480
Li3 0.413 0.413 0.324
Li4 0.587 0.587 0.676
Li5 0.707 0.707 0.520
Li6 0.935 0.935 0.596
Th1 0.133 0.133 0.019
Th2 0.867 0.867 0.981
Pt1 0.220 0.220 0.751
Pt2 0.457 0.457 0.811
Pt3 0.543 0.543 0.189
Pt4 0.780 0.780 0.249
```

The 10 most intense peaks (2θ = 15–90°), low angle first:
2θ 26.95, I = 38.4; 2θ 27.55, I = 64.8; 2θ 30.54, I = 100.0; 2θ 30.95, I = 33.4; 2θ 33.79, I = 58.5; 2θ 35.60, I = 42.9; 2θ 38.58, I = 57.5; 2θ 39.06, I = 55.7; 2θ 40.40, I = 93.7; 2θ 44.78, I = 40.9

2.
This entry pairs a crystal structure of LiThPt2 with its computed XRD peak list. Radiation: Cu Kα (λ = 1.5418 Å). Structure: DFT lattice parameters and positions (GGA-PBE).
Lines closer than 0.1° are merged.

Crystal structure
```
data_LiThPt2
_space_group_name_H-M_alt 'P 1'
_space_group_IT_number 1
_cell_length_a 7.286
_cell_length_b 7.046
_cell_length_c 5.827
_cell_angle_alpha 90.00
_cell_angle_beta 90.00
_cell_angle_gamma 90.00
loop_
_space_group_symop_operation_xyz
'x,y,z'
loop_
_atom_site_label
_atom_site_fract_x
_atom_site_fract_y
_atom_site_fract_z
Li1 0.105 0.250 0.158
Li2 0.395 0.750 0.658
Li3 0.605 0.250 0.342
Li4 0.895 0.750 0.842
Th1 0.027 0.750 0.347
Th2 0.473 0.250 0.847
Th3 0.527 0.750 0.153
Th4 0.973 0.250 0.653
Pt1 0.195 0.544 0.923
Pt2 0.195 0.956 0.923
Pt3 0.305 0.044 0.423
Pt4 0.305 0.456 0.423
Pt5 0.695 0.544 0.577
Pt6 0.695 0.956 0.577
Pt7 0.805 0.044 0.077
Pt8 0.805 0.456 0.077
```

The 10 most intense peaks (2θ = 15–90°), low angle first:
2θ 19.77, I = 32.7; 2θ 31.63, I = 55.0; 2θ 32.13, I = 58.8; 2θ 33.12, I = 60.1; 2θ 35.44, I = 100.0; 2θ 35.55, I = 53.1; 2θ 40.21, I = 77.2; 2θ 41.45, I = 29.4; 2θ 42.11, I = 27.8; 2θ 43.35, I = 36.6

3.
This entry pairs a crystal structure of LiThPt3 with its computed XRD peak list. Radiation: Cu Kα (λ = 1.5418 Å). Structure: DFT lattice parameters and positions (GGA-PBE).
Lines closer than 0.1° are merged.

Crystal structure
```
data_LiThPt3
_space_group_name_H-M_alt 'P 1'
_space_group_IT_number 1
_cell_length_a 4.503
_cell_length_b 4.503
_cell_length_c 4.503
_cell_angle_alpha 96.31
_cell_angle_beta 96.31
_cell_angle_gamma 96.31
loop_
_space_group_symop_operation_xyz
'x,y,z'
loop_
_atom_site_label
_atom_site_fract_x
_atom_site_fract_y
_atom_site_fract_z
Li1 0.000 0.000 0.000
Th1 0.581 0.581 0.581
Pt1 0.086 0.086 0.527
Pt2 0.086 0.527 0.086
Pt3 0.527 0.086 0.086
```

The 10 most intense peaks (2θ = 15–90°), low angle first:
2θ 33.48, I = 100.0; 2θ 39.23, I = 23.7; 2θ 40.62, I = 60.4; 2θ 54.73, I = 21.8; 2θ 62.72, I = 21.0; 2θ 65.70, I = 11.3; 2θ 69.38, I = 23.7; 2θ 70.34, I = 9.3; 2θ 76.52, I = 9.4; 2θ 87.95, I = 8.5

4.
This entry pairs a crystal structure of Li5TiPt6 with its computed XRD peak list. Radiation: Cu Kα (λ = 1.5418 Å). Structure: DFT lattice parameters and positions (GGA-PBE).
Lines closer than 0.1° are merged.

Crystal structure
```
data_Li5TiPt6
_space_group_name_H-M_alt 'P 1'
_space_group_IT_number 1
_cell_length_a 6.701
_cell_length_b 6.701
_cell_length_c 5.949
_cell_angle_alpha 90.00
_cell_angle_beta 90.00
_cell_angle_gamma 142.85
loop_
_space_group_symop_operation_xyz
'x,y,z'
loop_
_atom_site_label
_atom_site_fract_x
_atom_site_fract_y
_atom_site_fract_z
Li1 0.000 0.000 0.000
Li2 0.331 0.669 0.500
Li3 0.334 0.666 0.000
Li4 0.666 0.334 0.000
Li5 0.669 0.331 0.500
Ti1 0.000 0.000 0.500
Pt1 0.167 0.833 0.248
Pt2 0.167 0.833 0.752
Pt3 0.500 0.500 0.247
Pt4 0.500 0.500 0.753
Pt5 0.833 0.167 0.248
Pt6 0.833 0.167 0.752
```

The 10 most intense peaks (2θ = 15–90°), low angle first:
2θ 29.72, I = 82.1; 2θ 30.04, I = 39.9; 2θ 42.35, I = 20.6; 2θ 42.75, I = 100.0; 2θ 52.79, I = 17.0; 2θ 53.09, I = 16.8; 2θ 70.18, I = 22.1; 2θ 70.66, I = 14.4; 2θ 77.75, I = 14.1; 2θ 78.24, I = 13.8

5.
This entry pairs a crystal structure of Li3TlPt with its computed XRD peak list. Radiation: Cu Kα (λ = 1.5418 Å). Structure: DFT lattice parameters and positions (GGA-PBE).
Lines closer than 0.1° are merged.

Crystal structure
```
data_Li3TlPt
_space_group_name_H-M_alt 'P 1'
_space_group_IT_number 1
_cell_length_a 4.861
_cell_length_b 4.869
_cell_length_c 7.570
_cell_angle_alpha 83.34
_cell_angle_beta 72.19
_cell_angle_gamma 72.63
loop_
_space_group_symop_operation_xyz
'x,y,z'
loop_
_atom_site_label
_atom_site_fract_x
_atom_site_fract_y
_atom_site_fract_z
Li1 0.054 0.245 0.407
Li2 0.247 0.249 0.005
Li3 0.436 0.259 0.615
Li4 0.564 0.741 0.385
Li5 0.753 0.751 0.995
Li6 0.946 0.755 0.593
Tl1 0.342 0.756 0.804
Tl2 0.658 0.244 0.196
Pt1 0.152 0.744 0.212
Pt2 0.848 0.256 0.788
```

The 10 most intense peaks (2θ = 15–90°), low angle first:
2θ 23.52, I = 100.0; 2θ 24.72, I = 48.2; 2θ 31.49, I = 27.0; 2θ 31.88, I = 20.9; 2θ 38.75, I = 48.8; 2θ 38.84, I = 48.6; 2θ 43.74, I = 17.4; 2θ 45.21, I = 15.5; 2θ 46.32, I = 15.0; 2θ 47.12, I = 19.3

6.
This entry pairs a crystal structure of Li4TlPt with its computed XRD peak list. Radiation: Cu Kα (λ = 1.5418 Å). Structure: DFT lattice parameters and positions (GGA-PBE).
Lines closer than 0.1° are merged.

Crystal structure
```
data_Li4TlPt
_space_group_name_H-M_alt 'P 1'
_space_group_IT_number 1
_cell_length_a 2.937
_cell_length_b 4.381
_cell_length_c 7.732
_cell_angle_alpha 90.00
_cell_angle_beta 90.06
_cell_angle_gamma 90.00
loop_
_space_group_symop_operation_xyz
'x,y,z'
loop_
_atom_site_label
_atom_site_fract_x
_atom_site_fract_y
_atom_site_fract_z
Li1 0.000 0.000 0.000
Li2 0.001 0.500 0.180
Li3 0.002 0.000 0.588
Li4 0.503 0.500 0.459
Tl1 0.500 0.500 0.822
Pt1 0.501 0.000 0.291
```

The 10 most intense peaks (2θ = 15–90°), low angle first:
2θ 23.00, I = 49.9; 2θ 23.34, I = 100.0; 2θ 30.43, I = 26.0; 2θ 38.49, I = 29.5; 2θ 38.70, I = 58.7; 2θ 40.61, I = 25.4; 2θ 41.21, I = 13.6; 2θ 47.72, I = 14.7; 2θ 51.58, I = 22.9; 2θ 57.66, I = 18.5

7.
This entry pairs a crystal structure of Li3Tm2Pt4 with its computed XRD peak list. Radiation: Cu Kα (λ = 1.5418 Å). Structure: DFT lattice parameters and positions (GGA-PBE).
Lines closer than 0.1° are merged.

Crystal structure
```
data_Li3Tm2Pt4
_space_group_name_H-M_alt 'P 1'
_space_group_IT_number 1
_cell_length_a 4.293
_cell_length_b 4.702
_cell_length_c 8.735
_cell_angle_alpha 99.32
_cell_angle_beta 90.05
_cell_angle_gamma 117.13
loop_
_space_group_symop_operation_xyz
'x,y,z'
loop_
_atom_site_label
_atom_site_fract_x
_atom_site_fract_y
_atom_site_fract_z
Li1 0.000 0.000 0.000
Li2 0.359 0.714 0.433
Li3 0.641 0.286 0.567
Tm1 0.320 0.641 0.778
Tm2 0.680 0.359 0.222
Pt1 0.022 0.042 0.348
Pt2 0.341 0.682 0.105
Pt3 0.659 0.318 0.895
Pt4 0.978 0.958 0.652
```

The 10 most intense peaks (2θ = 15–90°), low angle first:
2θ 20.68, I = 20.9; 2θ 24.77, I = 49.7; 2θ 25.66, I = 26.6; 2θ 26.40, I = 23.7; 2θ 37.69, I = 100.0; 2θ 38.96, I = 85.9; 2θ 41.58, I = 34.8; 2θ 42.09, I = 42.2; 2θ 49.63, I = 21.5; 2θ 60.66, I = 23.2